(1)
Theoretical X-ray powder pattern
Compound: Tb6Ho4Tl
Radiation: Cu Kα, 1.54184 Å
Structure: a GGA-PBE-relaxed structure
Neutral-atom scattering factors, no anomalous dispersion.

Cell and atoms:
Unit cell a=10.8849 b=10.8849 c=3.4567 alpha=90.00 beta=90.00 gamma=120.00
Space group P-6m2 (No. 187)
One atom of each set of equivalent atoms:
Tb: 0.1849 0.3698 0.0000 x3
Tb: 0.5206 0.0412 0.5000 x3
Ho: 0.3030 0.1515 0.0000 x3
Ho: 0.3333 0.6667 0.5000 x1
Tl: 0.0000 0.0000 0.5000 x1

The 10 most intense peaks (2θ = 10–90°), sorted by position:
hkl  two_theta  I/Imax
3 0 0  28.4  23.8
1 1 1  30.6  25.7
2 0 1  32.1  89.8
2 2 0  32.9  100.0
2 1 1  36.2  27.4
3 0 1  38.7  15.9
4 0 1  46.6  23.5
4 2 1  58.3  17.5
5 2 0  61.4  14.7
2 2 2  63.8  30.0

=====

(2)
Theoretical X-ray powder pattern
Compound: Tb3Ho5Tm
Radiation: Cu Kα, 1.54184 Å
Structure: a GGA-PBE-relaxed structure
Neutral-atom scattering factors, no anomalous dispersion.

Cell and atoms:
Unit cell a=17.9122 b=6.2786 c=11.3469 alpha=90.00 beta=111.55 gamma=90.00
Space group C2/c (No. 15)
One atom of each set of equivalent atoms:
Tb: 0.0000 0.0000 0.0000 x4
Tb: 0.1707 0.1783 0.3757 x8
Ho: 0.0000 0.3960 0.2500 x4
Ho: 0.1584 0.3123 0.0129 x8
Ho: 0.1696 0.2895 0.7140 x8
Tm: 0.0000 0.1239 0.7500 x4

The 10 most intense peaks (2θ = 10–90°), sorted by position:
hkl  two_theta  I/Imax
3 1 -3  28.4  38.8
2 2 0  30.4  28.6
1 1 3  31.3  56.7
6 0 0  32.2  71.7
5 1 -3  32.7  100.0
0 0 4  34.0  14.2
4 2 -1  34.9  42.7
4 2 0  35.8  16.6
8 2 1  56.3  14.7
7 3 -2  56.9  16.1

=====

(3)
Theoretical X-ray powder pattern
Compound: TbHo4Tm2
Radiation: Cu Kα, 1.54184 Å
Structure: a GGA-PBE-relaxed structure
Neutral-atom scattering factors, no anomalous dispersion.

Cell and atoms:
Unit cell a=3.5427 b=3.5427 c=19.7650 alpha=90.00 beta=90.00 gamma=120.00
Space group P3m1 (No. 156)
One atom of each set of equivalent atoms:
Tb: 0.0000 0.0000 0.0000 x1
Ho: 0.3333 0.6667 0.2894 x1
Ho: 0.3333 0.6667 0.5724 x1
Ho: 0.6667 0.3333 0.1450 x1
Ho: 0.6667 0.3333 0.8565 x1
Tm: 0.0000 0.0000 0.4316 x1
Tm: 0.0000 0.0000 0.7146 x1

The 10 most intense peaks (2θ = 10–90°), sorted by position:
hkl  two_theta  I/Imax
1 0 1  29.5  38.1
0 0 7  31.7  49.6
1 0 3  32.2  100.0
0 1 4  34.4  87.2
0 1 6  40.2  15.9
1 1 0  51.6  38.4
1 0 10  55.3  20.8
0 1 11  59.6  18.7
1 1 7  61.8  44.4
1 1 14  88.6  17.0

=====

(4)
Theoretical X-ray powder pattern
Compound: Tb6Ho2Tm3
Radiation: Cu Kα, 1.54184 Å
Structure: a GGA-PBE-relaxed structure
Neutral-atom scattering factors, no anomalous dispersion.

Cell and atoms:
Unit cell a=3.5289 b=3.5289 c=94.7262 alpha=90.00 beta=90.00 gamma=120.00
Space group R-3m (No. 166, hexagonal axes)
One atom of each set of equivalent atoms:
Tb: 0.0000 0.0000 0.0905 x6
Tb: 0.0000 0.0000 0.1820 x6
Tb: 0.0000 0.0000 0.3635 x6
Ho: 0.0000 0.0000 0.4542 x6
Tm: 0.0000 0.0000 0.0000 x3
Tm: 0.0000 0.0000 0.2730 x6

The 10 most intense peaks (2θ = 10–90°), sorted by position:
hkl  two_theta  I/Imax
0 1 11  31.1  100.0
0 0 33  31.2  32.9
1 0 22  36.0  67.2
1 1 0  51.8  24.0
0 1 44  52.0  23.7
2 0 11  61.7  42.6
1 0 55  61.8  14.0
0 2 22  64.7  12.4
1 2 11  84.7  12.0
2 1 22  87.4  11.2

=====

(5)
Theoretical X-ray powder pattern
Compound: Tb4Ho5Tm3
Radiation: Cu Kα, 1.54184 Å
Structure: a GGA-PBE-relaxed structure
Neutral-atom scattering factors, no anomalous dispersion.

Cell and atoms:
Unit cell a=6.0937 b=7.0427 c=8.6108 alpha=90.00 beta=89.94 gamma=89.91
Space group P-1 (No. 2)
One atom of each set of equivalent atoms:
Tb: 0.1661 0.2508 0.3327 x2
Tb: 0.3334 0.0001 0.6670 x2
Ho: 0.0000 0.0000 0.0000 x1
Ho: 0.3331 0.5001 0.6671 x2
Ho: 0.4991 0.7493 0.9999 x2
Tm: 0.0000 0.5000 0.0000 x1
Tm: 0.1670 0.7493 0.3325 x2

The 10 most intense peaks (2θ = 10–90°), sorted by position:
hkl  two_theta  I/Imax
1 2 1  31.1  100.0
2 0 2  36.1  50.6
3 2 0  52.0  30.0
4 0 1  61.8  32.0
1 2 -5  61.9  10.6
2 4 2  64.9  6.2
4 4 1  84.9  7.5
1 2 7  85.0  7.5
5 2 2  87.7  7.0
0 4 6  87.8  8.4

=====

(6)
Theoretical X-ray powder pattern
Compound: TbHo3Tm8
Radiation: Cu Kα, 1.54184 Å
Structure: a GGA-PBE-relaxed structure
Neutral-atom scattering factors, no anomalous dispersion.

Cell and atoms:
Unit cell a=10.7267 b=11.0789 c=6.1915 alpha=90.00 beta=90.00 gamma=90.00
Space group Imm2 (No. 44)
One atom of each set of equivalent atoms:
Tb: 0.0000 0.0000 0.0000 x2
Ho: 0.0000 0.2503 0.3334 x4
Ho: 0.0000 0.5000 0.9997 x2
Tm: 0.1670 0.0000 0.5006 x4
Tm: 0.1669 0.2505 0.8327 x8
Tm: 0.1667 0.5000 0.5003 x4

The 10 most intense peaks (2θ = 10–90°), sorted by position:
hkl  two_theta  I/Imax
3 0 1  28.8  24.0
0 4 0  32.3  23.8
0 2 2  33.1  100.0
3 4 1  43.9  15.5
6 0 0  51.1  19.9
0 6 2  58.2  20.2
6 4 0  61.8  22.5
6 2 2  62.3  16.5
3 2 5  84.6  14.2
6 8 0  89.5  8.5

=====

(7)
Theoretical X-ray powder pattern
Compound: Tb8Ho4Tm3
Radiation: Cu Kα, 1.54184 Å
Structure: a GGA-PBE-relaxed structure
Neutral-atom scattering factors, no anomalous dispersion.

Cell and atoms:
Unit cell a=6.8767 b=6.8767 c=35.0208 alpha=90.00 beta=90.00 gamma=120.00
Space group R-3m (No. 166, hexagonal axes)
One atom of each set of equivalent atoms:
Tb: 0.0000 0.0000 0.2449 x6
Tb: 0.0017 0.5008 0.7506 x18
Ho: 0.0000 0.0000 0.0000 x3
Ho: 0.0000 0.0000 0.3361 x6
Ho: 0.0000 0.0000 0.5000 x3
Tm: 0.0000 0.5000 0.5000 x9

The 10 most intense peaks (2θ = 10–90°), sorted by position:
hkl  two_theta  I/Imax
1 1 3  27.0  18.1
0 2 1  30.1  28.6
0 0 12  30.6  57.3
0 2 4  31.7  100.0
2 0 8  36.5  72.7
0 2 16  51.8  23.4
2 2 0  53.3  37.6
2 0 20  61.4  16.3
2 2 12  62.7  44.8
2 2 24  87.7  17.0

=====

(8)
Theoretical X-ray powder pattern
Compound: Tb7Ho5Tm
Radiation: Cu Kα, 1.54184 Å
Structure: a GGA-PBE-relaxed structure
Neutral-atom scattering factors, no anomalous dispersion.

Cell and atoms:
Unit cell a=13.0331 b=12.6550 c=5.4941 alpha=90.00 beta=114.86 gamma=90.00
Space group Cm (No. 8)
One atom of each set of equivalent atoms:
Tb: 0.0000 0.0000 0.0000 x2
Tb: 0.1351 0.1210 0.6342 x4
Tb: 0.1600 0.2890 0.1584 x4
Tb: 0.1869 0.5000 0.6866 x2
Tb: 0.3596 0.5000 0.3597 x2
Ho: 0.3626 0.2818 0.8607 x4
Ho: 0.4382 0.0000 0.9361 x2
Ho: 0.4684 0.1678 0.4663 x4
Tm: 0.2572 0.0000 0.2559 x2

The 10 most intense peaks (2θ = 10–90°), sorted by position:
hkl  two_theta  I/Imax
1 3 1  30.7  100.0
4 2 -1  31.3  95.2
2 0 -2  32.6  62.2
0 4 1  33.5  23.2
2 4 -1  33.6  16.4
3 1 1  35.2  28.7
5 5 0  53.0  15.2
1 3 -3  57.0  18.3
6 2 -3  57.4  17.2
3 5 2  63.6  17.6